Diffraction record for LiLa3Bi3. The X-ray powder pattern is simulated, not measured: it uses DFT lattice parameters and positions (GGA-PBE) and CuKα.
No peak broadening, texture or thermal motion is included.

Most intense lines, 2θ = 10–80°, in order of rising 2θ:
- 26.29 deg, d = 3.390 Å, intensity 48, hkl 0 2 0
- 26.46 deg, d = 3.368 Å, intensity 100, hkl 6 0 0
- 37.65 deg, d = 2.389 Å, intensity 77, hkl 6 2 0
- 37.77 deg, d = 2.382 Å, intensity 40, hkl 6 0 4
- 46.60 deg, d = 1.949 Å, intensity 40, hkl 6 2 4
- 61.49 deg, d = 1.508 Å, intensity 26, hkl 12 2 0
- 68.08 deg, d = 1.377 Å, intensity 12, hkl 6 2 8
- 68.15 deg, d = 1.376 Å, intensity 13, hkl 12 2 4

Cell and atoms:
Cell: 20.193 6.780 13.486 Å, 90.00 90.00 90.00°
Space group Cmce (No. 64)
Unique sites:
Li 0.082 0.000 0.000 [8 per cell]
La 0.000 0.212 0.361 [8 per cell]
La 0.171 0.225 0.631 [16 per cell]
Bi 0.000 0.232 0.119 [8 per cell]
Bi 0.165 0.234 0.878 [16 per cell]